Computed powder diffraction line list of CaCe3Pm4Te8 for Cu Kα, 1.54184 Å, from the PBE geometry in Alexandria.
Intensities are scaled so that the largest is 100.

Atomic structure:
```
CaCe3Pm4Te8
1.0
4.479 2.586 7.319
-4.479 2.586 7.319
0.000 -5.172 7.319
Ca Ce Pm Te
1 3 4 8
Cartesian
0.000 0.000 0.000
-2.240 -1.293 7.319
-2.240 1.293 14.638
0.000 2.586 7.319
-4.479 0.000 10.978
-2.240 1.293 3.659
2.240 1.293 3.659
0.000 0.000 10.978
-2.260 -1.305 12.810
0.000 -2.610 9.146
-2.260 1.305 9.146
0.000 0.000 5.476
0.000 0.000 16.481
2.260 -1.305 12.810
0.000 2.610 12.810
2.260 1.305 9.146
```

The 10 most intense peaks (2θ from 10° to 90°), by angle:
two_theta	I/Imax
12.10	2
13.98	1
23.28	2
28.17	100
40.26	76
49.86	27
58.25	13
65.94	35
73.18	26
86.99	8



Computed powder diffraction line list of Ca2CePmTl4 for Cu Kα, 1.54184 Å, from the PBE geometry in Alexandria.
Intensities are scaled so that the largest is 100.

Atomic structure:
```
Ca2CePmTl4
1.0
2.753 1.589 8.999
-2.753 1.589 8.999
0.000 -3.179 8.999
Ca Ce Pm Tl
2 1 1 4
Cartesian
0.000 0.000 6.756
0.000 0.000 20.241
0.000 0.000 13.498
0.000 0.000 0.000
0.000 0.000 3.368
0.000 0.000 10.129
0.000 0.000 16.868
0.000 0.000 23.628
```

The 10 most intense peaks (2θ from 10° to 90°), by angle:
two_theta	I/Imax
19.74	7
22.83	16
32.51	100
40.10	5
46.64	18
52.54	7
58.01	39
68.10	12
77.51	17
86.59	4



Q: Which formula does entry 1 have?
A: CaCe3Pm4Te8



Please write out number 1 again, unchanged.
Computed powder diffraction line list of CaCe3Pm4Te8 for Cu Kα, 1.54184 Å, from the PBE geometry in Alexandria.
Intensities are scaled so that the largest is 100.

Atomic structure:
```
CaCe3Pm4Te8
1.0
4.479 2.586 7.319
-4.479 2.586 7.319
0.000 -5.172 7.319
Ca Ce Pm Te
1 3 4 8
Cartesian
0.000 0.000 0.000
-2.240 -1.293 7.319
-2.240 1.293 14.638
0.000 2.586 7.319
-4.479 0.000 10.978
-2.240 1.293 3.659
2.240 1.293 3.659
0.000 0.000 10.978
-2.260 -1.305 12.810
0.000 -2.610 9.146
-2.260 1.305 9.146
0.000 0.000 5.476
0.000 0.000 16.481
2.260 -1.305 12.810
0.000 2.610 12.810
2.260 1.305 9.146
```

The 10 most intense peaks (2θ from 10° to 90°), by angle:
two_theta	I/Imax
12.10	2
13.98	1
23.28	2
28.17	100
40.26	76
49.86	27
58.25	13
65.94	35
73.18	26
86.99	8